[1]
For Tb2YCo2B2C3, a cell relaxed with PBE gives the simulated powder diffraction line list in this record (copper Kα).

Structural model:
```
10
Lattice="-1.7821 1.7821 10.2623 1.7821 -1.7821 10.2623 1.7821 1.7821 -10.2623" Properties=species:S:1:pos:R:3 pbc="T T T"
Tb 0.0000 0.0000 2.5552
Tb 0.0000 0.0000 17.9694
Y 0.0000 0.0000 10.2623
Co 1.7821 0.0000 5.1312
Co 0.0000 1.7821 5.1312
B 0.0000 0.0000 6.2605
B 0.0000 0.0000 14.2641
C 0.0000 0.0000 0.0000
C 0.0000 0.0000 7.7636
C 0.0000 0.0000 12.7610
```

Top 12 peaks for 2θ from 10° to 80°, low angle first:
d_spacing, Rel. int.
3.512, 26
3.161, 100
2.691, 84
2.566, 59
2.520, 40
2.448, 32
2.262, 79
1.798, 24
1.782, 42
1.552, 26
1.486, 28
1.464, 39

[2]
For KPrScSe3, a cell relaxed with PBE gives the simulated powder diffraction line list in this record (copper Kα).

Structural model:
```
24
Lattice="10.9211 0.0000 0.0000 0.0000 4.7657 0.0000 0.0000 0.0000 13.1507" Properties=species:S:1:pos:R:3 pbc="T T T"
K 1.7177 1.1914 0.2782
K 3.7429 3.5743 6.8535
K 7.1782 1.1914 6.2972
K 9.2034 3.5743 12.8725
Pr 0.2662 1.1914 4.5102
Pr 5.1943 3.5743 11.0855
Pr 5.7268 1.1914 2.0652
Pr 10.6549 3.5743 8.6405
Sc 2.3124 1.1914 9.6996
Sc 3.1482 3.5743 3.1243
Sc 7.7730 1.1914 10.0264
Sc 8.6087 3.5743 3.4511
Se 0.5546 3.5743 2.5347
Se 1.3041 1.1914 7.3463
Se 2.1621 3.5743 10.7325
Se 3.2984 1.1914 4.1572
Se 4.1565 3.5743 0.7709
Se 4.9060 1.1914 9.1101
Se 6.0151 3.5743 4.0406
Se 6.7646 1.1914 12.3798
Se 7.6227 3.5743 8.9935
Se 8.7590 1.1914 2.4181
Se 9.6170 3.5743 5.8044
Se 10.3665 1.1914 10.6160
```

Top 12 peaks for 2θ from 10° to 80°, low angle first:
d_spacing, Rel. int.
8.402, 67
6.575, 52
4.145, 27
3.638, 49
3.150, 64
3.094, 45
2.673, 49
2.648, 100
2.627, 77
2.383, 67
2.303, 36
1.779, 28